# 1
Starting from a DFT-relaxed cell (PBE, the Materials Project), the X-ray powder pattern of SrMgSnP2O8 was calculated for λ = 1.5418 Å (Cu Kα).

Structural model:
```
data_SrMgSnP2O8
_chemical_formula_sum 'Sr2 Mg2 Sn2 P4 O16'
_space_group_name_H-M_alt 'P -1'
_space_group_IT_number 2
_cell_length_a 5.6114
_cell_length_b 7.1536
_cell_length_c 10.0563
_cell_angle_alpha 107.49
_cell_angle_beta 104.79
_cell_angle_gamma 96.83
loop_
_space_group_symop_operation_xyz
'x,y,z'
'-x,-y,-z'
loop_
_atom_site_label
_atom_site_fract_x
_atom_site_fract_y
_atom_site_fract_z
Sr1 0.1984 0.2511 0.4625
Mg1 0.3790 0.2217 0.8616
Sn1 0.0359 0.7471 0.9165
P1 0.1542 0.7000 0.2865
P2 0.4638 0.7672 0.7816
O1 0.0655 0.3248 0.8540
O2 0.1202 0.8588 0.4182
O3 0.1210 0.4872 0.3028
O4 0.2699 0.1173 0.2020
O5 0.2794 0.9188 0.8006
O6 0.3563 0.6056 0.6318
O7 0.4180 0.7491 0.2678
O8 0.4891 0.6891 0.9144
```

Peak list (6 most intense, 2θ = 10–90°, in order of rising 2θ)
- 16.72 deg, I = 36
- 26.74 deg, I = 100
- 27.75 deg, I = 56
- 29.08 deg, I = 71
- 29.49 deg, I = 38
- 32.18 deg, I = 71

# 2
Starting from a DFT-relaxed cell (PBE, the Materials Project), the X-ray powder pattern of Zn6S5Cl2 was calculated for λ = 1.5418 Å (Cu Kα).

Structural model:
```
data_Zn6S5Cl2
_chemical_formula_sum 'Zn24 S20 Cl8'
_space_group_name_H-M_alt 'C 1 2 1'
_space_group_IT_number 5
_cell_length_a 19.7329
_cell_length_b 8.5196
_cell_length_c 7.7396
_cell_angle_alpha 90.00
_cell_angle_beta 90.53
_cell_angle_gamma 90.00
loop_
_space_group_symop_operation_xyz
'x,y,z'
'-x,y,-z'
'x+1/2,y+1/2,z'
'-x+1/2,y+1/2,-z'
loop_
_atom_site_label
_atom_site_fract_x
_atom_site_fract_y
_atom_site_fract_z
Zn1 0.0010 0.0000 0.2517
Zn2 0.0244 0.4739 0.7268
Zn3 0.1612 0.8324 0.5081
Zn4 0.1745 0.1599 0.7420
Zn5 0.1843 0.5660 0.9221
Zn6 0.1848 0.1217 0.2470
S1 0.1111 0.9140 0.2501
S2 0.1106 0.9292 0.7547
S3 0.1344 0.4231 0.7250
S4 0.2343 0.2283 0.0015
S5 0.2451 0.1696 0.4961
Cl1 0.0000 0.1750 0.0000
Cl2 0.0000 0.2529 0.5000
Cl3 0.0000 0.5918 0.0000
Cl4 0.0000 0.6500 0.5000
```

Peak list (6 most intense, 2θ = 10–90°, in order of rising 2θ)
- 16.13 deg, I = 75
- 22.74 deg, I = 98
- 27.11 deg, I = 100
- 31.23 deg, I = 70
- 34.41 deg, I = 65
- 36.37 deg, I = 68

# 3
Starting from a DFT-relaxed cell (PBE, the Materials Project), the X-ray powder pattern of V2FeSe4 was calculated for λ = 1.5418 Å (Cu Kα).

Structural model:
```
data_V2FeSe4
_chemical_formula_sum 'V4 Fe2 Se8'
_space_group_name_H-M_alt 'C 1 m 1'
_space_group_IT_number 8
_cell_length_a 13.3373
_cell_length_b 3.4238
_cell_length_c 6.2769
_cell_angle_alpha 90.00
_cell_angle_beta 117.36
_cell_angle_gamma 90.00
loop_
_space_group_symop_operation_xyz
'x,y,z'
'x,-y,z'
'x+1/2,y+1/2,z'
'x+1/2,-y+1/2,z'
loop_
_atom_site_label
_atom_site_fract_x
_atom_site_fract_y
_atom_site_fract_z
V1 0.0000 0.0000 0.0000
V2 0.2493 0.5000 0.6882
Fe1 0.2513 0.0000 0.3231
Se1 0.1096 0.0000 0.4566
Se2 0.1376 0.5000 0.9807
Se3 0.3601 0.0000 0.0239
Se4 0.3887 0.5000 0.5466
```

Peak list (6 most intense, 2θ = 10–90°, in order of rising 2θ)
- 32.45 deg, I = 53
- 33.35 deg, I = 100
- 33.51 deg, I = 44
- 42.74 deg, I = 48
- 43.00 deg, I = 49
- 51.17 deg, I = 46

# 4
Starting from a DFT-relaxed cell (PBE, the Materials Project), the X-ray powder pattern of Mn3Sb was calculated for λ = 1.5418 Å (Cu Kα).

Structural model:
```
data_Mn3Sb
_chemical_formula_sum 'Mn3 Sb1'
_space_group_name_H-M_alt 'P m -3 m'
_space_group_IT_number 221
_space_group_name_Hall '-P 4 2 3'
_cell_length_a 3.8134
_cell_length_b 3.8134
_cell_length_c 3.8134
_cell_angle_alpha 90.00
_cell_angle_beta 90.00
_cell_angle_gamma 90.00
loop_
_atom_site_label
_atom_site_fract_x
_atom_site_fract_y
_atom_site_fract_z
Mn1 0.0000 0.0000 0.5000
Sb1 0.5000 0.5000 0.5000
```

Peak list (6 most intense, 2θ = 10–90°, in order of rising 2θ)
- 23.33 deg, I = 16
- 33.23 deg, I = 14
- 40.99 deg, I = 100
- 47.70 deg, I = 47
- 69.75 deg, I = 28
- 84.21 deg, I = 33

# 5
Starting from a DFT-relaxed cell (PBE, the Materials Project), the X-ray powder pattern of Er8Ga3Co was calculated for λ = 1.5418 Å (Cu Kα).

Structural model:
```
data_Er8Ga3Co
_chemical_formula_sum 'Er16 Ga6 Co2'
_space_group_name_H-M_alt 'P 63 m c'
_space_group_IT_number 186
_space_group_name_Hall 'P 6c -2c'
_cell_length_a 9.9384
_cell_length_b 9.9384
_cell_length_c 6.8442
_cell_angle_alpha 90.00
_cell_angle_beta 90.00
_cell_angle_gamma 120.00
loop_
_atom_site_label
_atom_site_fract_x
_atom_site_fract_y
_atom_site_fract_z
Er1 0.0000 0.0000 0.0000
Er2 0.0708 0.5354 0.0225
Er3 0.1731 0.3461 0.7218
Er4 0.3333 0.6667 0.4017
Ga1 0.1636 0.3272 0.2693
Co1 0.3333 0.6667 0.7892
```

Peak list (6 most intense, 2θ = 10–90°, in order of rising 2θ)
- 30.42 deg, I = 44
- 31.75 deg, I = 21
- 33.45 deg, I = 100
- 33.88 deg, I = 19
- 36.15 deg, I = 90
- 62.21 deg, I = 26

# 6
Starting from a DFT-relaxed cell (PBE, the Materials Project), the X-ray powder pattern of La12Ni6Pb was calculated for λ = 1.5418 Å (Cu Kα).

Structural model:
```
data_La12Ni6Pb
_chemical_formula_sum 'La24 Ni12 Pb2'
_space_group_name_H-M_alt 'I m -3'
_space_group_IT_number 204
_space_group_name_Hall '-I 2 2 3'
_cell_length_a 10.3316
_cell_length_b 10.3316
_cell_length_c 10.3316
_cell_angle_alpha 90.00
_cell_angle_beta 90.00
_cell_angle_gamma 90.00
loop_
_atom_site_label
_atom_site_fract_x
_atom_site_fract_y
_atom_site_fract_z
La1 0.0000 0.3106 0.1859
Ni1 0.0000 0.1222 0.5000
Pb1 0.0000 0.0000 0.0000
```

Peak list (6 most intense, 2θ = 10–90°, in order of rising 2θ)
- 27.30 deg, I = 43
- 29.96 deg, I = 35
- 32.42 deg, I = 100
- 44.73 deg, I = 27
- 51.58 deg, I = 29
- 54.77 deg, I = 33

# 7
Starting from a DFT-relaxed cell (PBE, the Materials Project), the X-ray powder pattern of Ca3B4H12O3 was calculated for λ = 1.5418 Å (Cu Kα).

Structural model:
```
data_Ca3B4H12O3
_chemical_formula_sum 'Ca12 B16 H48 O12'
_space_group_name_H-M_alt 'C m c 21'
_space_group_IT_number 36
_cell_length_a 9.0362
_cell_length_b 8.0982
_cell_length_c 11.8697
_cell_angle_alpha 90.00
_cell_angle_beta 90.00
_cell_angle_gamma 90.00
loop_
_space_group_symop_operation_xyz
'x,y,z'
'-x,-y,z+1/2'
'-x,y,z'
'x,-y,z+1/2'
'x+1/2,y+1/2,z'
'-x+1/2,-y+1/2,z+1/2'
'-x+1/2,y+1/2,z'
'x+1/2,-y+1/2,z+1/2'
loop_
_atom_site_label
_atom_site_fract_x
_atom_site_fract_y
_atom_site_fract_z
Ca1 0.0000 0.0772 0.0000
Ca2 0.2303 0.2216 0.7296
B1 0.0000 0.0013 0.2249
B2 0.0000 0.4946 0.2405
B3 0.2255 0.2191 0.4767
H1 0.0000 0.3574 0.1961
H2 0.0000 0.4027 0.6649
H3 0.1081 0.4907 0.8017
H4 0.1235 0.2336 0.5436
H5 0.1609 0.3308 0.0221
H6 0.1902 0.1185 0.4043
H7 0.2418 0.3554 0.4342
O1 0.0000 0.1206 0.8075
O2 0.1325 0.0501 0.1765
```

Peak list (6 most intense, 2θ = 10–90°, in order of rising 2θ)
- 14.69 deg, I = 100
- 14.93 deg, I = 58
- 24.77 deg, I = 29
- 29.63 deg, I = 63
- 30.12 deg, I = 42
- 42.76 deg, I = 39

# 8
Starting from a DFT-relaxed cell (PBE, the Materials Project), the X-ray powder pattern of CuSb2ClO3 was calculated for λ = 1.5418 Å (Cu Kα).

Structural model:
```
data_CuSb2ClO3
_chemical_formula_sum 'Cu16 Sb32 Cl16 O48'
_space_group_name_H-M_alt 'C m c 21'
_space_group_IT_number 36
_cell_length_a 7.8432
_cell_length_b 13.6082
_cell_length_c 18.8597
_cell_angle_alpha 90.00
_cell_angle_beta 90.00
_cell_angle_gamma 90.00
loop_
_space_group_symop_operation_xyz
'x,y,z'
'-x,-y,z+1/2'
'-x,y,z'
'x,-y,z+1/2'
'x+1/2,y+1/2,z'
'-x+1/2,-y+1/2,z+1/2'
'-x+1/2,y+1/2,z'
'x+1/2,-y+1/2,z+1/2'
loop_
_atom_site_label
_atom_site_fract_x
_atom_site_fract_y
_atom_site_fract_z
Cu1 0.0000 0.2464 0.0000
Cu2 0.0000 0.2543 0.4454
Cu3 0.2389 0.0035 0.9903
Sb1 0.0000 0.0750 0.6384
Sb2 0.0000 0.0791 0.3002
Sb3 0.0000 0.4166 0.1418
Sb4 0.0000 0.4292 0.8027
Sb5 0.2373 0.3390 0.3030
Sb6 0.2378 0.1599 0.1397
Cl1 0.0000 0.0873 0.9499
Cl2 0.0000 0.4144 0.4936
Cl3 0.2480 0.1671 0.4747
O1 0.0000 0.0474 0.7430
O2 0.0000 0.2062 0.1095
O3 0.0000 0.2902 0.3339
O4 0.0000 0.4553 0.6968
O5 0.1875 0.1448 0.2433
O6 0.1871 0.4784 0.3277
O7 0.1884 0.0191 0.1101
O8 0.1885 0.3511 0.1981
```

Peak list (6 most intense, 2θ = 10–90°, in order of rising 2θ)
- 27.90 deg, I = 32
- 28.39 deg, I = 36
- 29.88 deg, I = 100
- 46.26 deg, I = 35
- 51.21 deg, I = 23
- 55.18 deg, I = 30